NaInAs2O7: simulated X-ray powder pattern (Cu Kα, 1.54184 Å), based on a PBE-relaxed structure.
No peak broadening, texture or thermal motion is included.

Peak list (6 most intense, 2θ from 10° to 90°, by angle)
2θ (°)  I (rel.)  index
16.26  79  1 1 1
26.53  66  0 0 4
27.29  100  2 2 -2
27.60  41  3 1 -1
32.58  32  3 1 -4
32.88  56  2 2 2

Structure:
```
data_NaInAs2O7
_chemical_formula_sum 'Na8 In8 As16 O56'
_cell_length_a 10.4643
_cell_length_b 8.8803
_cell_length_c 14.2857
_cell_angle_alpha 90.00
_cell_angle_beta 109.80
_cell_angle_gamma 90.00
_symmetry_space_group_name_H-M 'C 1 2/c 1'
_symmetry_Int_Tables_number 15
loop_
_symmetry_equiv_pos_as_xyz
'x,y,z'
'-x,-y,-z'
'-x,y,-z+1/2'
'x,-y,z+1/2'
'x+1/2,y+1/2,z'
'-x+1/2,-y+1/2,-z'
'-x+1/2,y+1/2,-z+1/2'
'x+1/2,-y+1/2,z+1/2'
loop_
_atom_site_label
_atom_site_type_symbol
_atom_site_fract_x
_atom_site_fract_y
_atom_site_fract_z
Na1 Na 0.0978 0.1419 0.1252
In1 In 0.1358 0.2642 0.6386
As1 As 0.1258 0.4589 0.4265
As2 As 0.1693 0.0756 0.8631
O1 O 0.0185 0.4598 0.6488
O2 O 0.0221 0.0895 0.8896
O3 O 0.0903 0.2971 0.4785
O4 O 0.1774 0.0994 0.3158
O5 O 0.1933 0.4009 0.0224
O6 O 0.1984 0.2247 0.7985
O7 O 0.2477 0.4351 0.3739
```